The following is a theoretical XRD peak list of LiV2P4H2O16. It was derived from a DFT-relaxed cell (PBE+U, Alexandria), using a wavelength of 1.5418 Å.

Main lines, sorted by position (5° ≤ 2θ ≤ 70°):
- (1 1 -1), 16.72°, I = 76
- (0 2 0), 22.76°, I = 62
- (-2 1 1), 25.06°, I = 100
- (1 2 -2), 25.68°, I = 70
- (1 2 0), 29.61°, I = 85
- (2 2 -2), 33.74°, I = 19
- (2 -2 2), 33.89°, I = 26
- (2 4 -4), 52.69°, I = 23

Cell and atoms:
Cell lengths 7.7470, 9.3003, 9.3487 Å; angles 116.83, 102.19, 101.63 degrees
Space group P1 (No. 1)
Symmetry-distinct sites (fractional):
1 Li 0.0000 0.0000 0.0000 x1
2 Li 0.2866 0.6790 0.4163 x1
3 V 0.1431 0.8388 0.2103 x1
4 V 0.1463 0.3431 0.7135 x1
5 V 0.6297 0.0836 0.9575 x1
6 V 0.6489 0.5916 0.4578 x1
7 P 0.3732 0.6896 0.7091 x1
8 P 0.3782 0.1962 0.2214 x1
9 P 0.4159 0.0864 0.6076 x1
10 P 0.4181 0.5956 0.1070 x1
11 P 0.8750 0.0888 0.3132 x1
12 P 0.8756 0.5962 0.8105 x1
13 P 0.9054 0.4804 0.2008 x1
14 P 0.9051 0.9899 0.7024 x1
15 H 0.1278 0.8559 0.7143 x1
16 H 0.1349 0.3461 0.2126 x1
17 H 0.6538 0.0874 0.4506 x1
18 H 0.6569 0.5803 0.9440 x1
19 O 0.0056 0.7737 0.9703 x1
20 O 0.0151 0.2607 0.4724 x1
21 O 0.0833 0.4515 0.2786 x1
22 O 0.0839 0.9609 0.7806 x1
23 O 0.2028 0.7255 0.6399 x1
24 O 0.2035 0.2222 0.1406 x1
25 O 0.2735 0.4215 0.9430 x1
26 O 0.2800 0.9069 0.4558 x1
27 O 0.3031 0.2113 0.6483 x1
28 O 0.3061 0.7234 0.1393 x1
29 O 0.3194 0.0450 0.2468 x1
30 O 0.3211 0.5325 0.7307 x1
31 O 0.4504 0.5723 0.2630 x1
32 O 0.4699 0.0640 0.7702 x1
33 O 0.4771 0.6541 0.5772 x1
34 O 0.4879 0.1468 0.0891 x1
35 O 0.5163 0.8483 0.8826 x1
36 O 0.5200 0.3537 0.3873 x1
37 O 0.5936 0.6523 0.0754 x1
38 O 0.5949 0.1525 0.5855 x1
39 O 0.6908 0.0296 0.3372 x1
40 O 0.6997 0.5178 0.8356 x1
41 O 0.7691 0.3163 0.0338 x1
42 O 0.7716 0.8362 0.5299 x1
43 O 0.8013 0.5264 0.3312 x1
44 O 0.8087 0.0250 0.8394 x1
45 O 0.8238 0.6245 0.6599 x1
46 O 0.8302 0.1001 0.1483 x1
47 O 0.9680 0.6284 0.1730 x1
48 O 0.9694 0.1514 0.6902 x1
49 O 0.9771 0.9549 0.2805 x1
50 O 0.9899 0.4711 0.7733 x1